[1]
Starting from a cell relaxed with GGA-PBE, the powder XRD pattern of Ti6MnRh2 was calculated for Cu Kα.

Cell lengths 12.850, 6.000, 4.380 Å; angles 90.00, 109.87, 90.00 degrees
Space group C2/m (No. 12)
Symmetry-distinct sites (fractional):
Ti1 0.000 0.236 0.000 (multiplicity 4)
Ti2 0.160 0.243 0.660 (multiplicity 8)
Mn1 0.000 0.000 0.500 (multiplicity 2)
Rh1 0.166 0.500 0.166 (multiplicity 4)

Principal peaks in the range 2θ from 10° to 90°, by angle:
| index | Position (°2θ) | Rel. int. |
| --- | --- | --- |
| 1 1 -1 | 25.17 | 52 |
| 3 1 0 | 26.65 | 45 |
| 2 0 -2 | 41.22 | 29 |
| 2 2 1 | 42.88 | 100 |
| 6 0 0 | 45.01 | 21 |
| 1 1 2 | 49.77 | 15 |
| 5 1 1 | 52.26 | 13 |
| 4 0 2 | 62.67 | 15 |
| 0 2 3 | 76.29 | 16 |
| 8 2 1 | 81.56 | 13 |

***

[2]
Starting from a cell relaxed with GGA-PBE, the powder XRD pattern of Ho4SbRh was calculated for Cu Kα.

Cell lengths 8.898, 13.352, 6.021 Å; angles 90.00, 115.08, 90.00 degrees
Space group C2/c (No. 15)
Symmetry-distinct sites (fractional):
Ho1 0.114 0.174 0.073 (multiplicity 8)
Ho2 0.216 0.428 0.332 (multiplicity 8)
Sb1 0.000 0.374 0.750 (multiplicity 4)
Rh1 0.000 0.001 0.250 (multiplicity 4)

Principal peaks in the range 2θ from 10° to 90°, by angle:
| index | Position (°2θ) | Rel. int. |
| --- | --- | --- |
| 1 1 -2 | 30.57 | 43 |
| 3 1 -1 | 30.97 | 65 |
| 0 4 1 | 31.42 | 42 |
| 2 4 -1 | 34.31 | 38 |
| 2 2 1 | 35.46 | 100 |
| 0 2 2 | 35.56 | 18 |
| 1 3 -2 | 36.13 | 34 |
| 3 3 0 | 39.17 | 23 |
| 3 3 -2 | 41.17 | 22 |
| 4 2 -3 | 53.42 | 18 |